[1]
# MgHgI4
Calculated powder diffractogram, CuKα. Input: a cell relaxed with PBE.

Cell lengths 7.709, 7.709, 7.709 Å; angles 127.89, 127.89, 76.81 degrees
Positions (direct):
Mg (0.000, 0.000, 0.000)
Hg (0.250, 0.750, 0.500)
I (0.123, 0.633, 0.998)
I (0.367, 0.365, 0.490)
I (0.635, 0.125, 0.002)
I (0.875, 0.877, 0.510)

Largest 10 diffraction maxima, in order of falling intensity, 15° ≤ 2θ ≤ 90°:
2θ (°), Rel. int.
23.7, 1000
40.0, 437
44.9, 356
37.6, 261
49.1, 175
69.4, 168
30.4, 146
63.4, 142
25.7, 110
26.3, 98

---

[2]
# Mg4HgI8
Calculated powder diffractogram, CuKα. Input: a cell relaxed with PBE.

Cell lengths 10.651, 10.651, 14.398 Å; angles 129.51, 129.51, 22.85 degrees
Positions (direct):
Mg (0.000, 0.000, 0.000)
Mg (0.330, 0.330, 0.665)
Mg (0.512, 0.512, 0.357)
Mg (0.817, 0.817, 0.308)
Hg (0.664, 0.664, 0.831)
I (0.003, 0.003, 0.490)
I (0.032, 0.032, 0.240)
I (0.297, 0.297, 0.425)
I (0.327, 0.327, 0.174)
I (0.374, 0.374, 0.908)
I (0.624, 0.624, 0.089)
I (0.706, 0.706, 0.575)
I (0.956, 0.956, 0.757)

Largest 10 diffraction maxima, in order of falling intensity, 15° ≤ 2θ ≤ 90°:
2θ (°), Rel. int.
27.0, 1000
28.2, 932
25.7, 648
26.7, 540
42.7, 479
28.4, 473
24.5, 324
45.4, 243
42.9, 240
33.5, 219

---

[3]
# MgHgSbI6
Calculated powder diffractogram, CuKα. Input: a cell relaxed with PBE.

Cell lengths 7.608, 7.608, 7.367 Å; angles 90.16, 90.16, 119.98 degrees
Positions (direct):
Mg (0.000, 0.000, 0.000)
Hg (0.334, 0.666, 0.500)
Sb (0.667, 0.333, 0.000)
I (0.323, 0.016, 0.766)
I (0.326, 0.308, 0.234)
I (0.692, 0.674, 0.766)
I (0.694, 0.018, 0.234)
I (0.982, 0.306, 0.766)
I (0.984, 0.677, 0.234)

Largest 10 diffraction maxima, in order of falling intensity, 15° ≤ 2θ ≤ 90°:
2θ (°), Rel. int.
26.4, 1000
18.1, 567
41.1, 465
33.8, 418
33.9, 327
49.5, 184
44.0, 150
38.1, 149
26.4, 141
43.8, 132

---

[4]
# MnHg3I8
Calculated powder diffractogram, CuKα. Input: a cell relaxed with PBE.

Cell lengths 11.784, 11.784, 12.534 Å; angles 112.86, 112.86, 22.10 degrees
Positions (direct):
Mn (0.000, 0.000, 0.000)
Hg (0.097, 0.097, 0.451)
Hg (0.224, 0.224, 0.001)
Hg (0.322, 0.322, 0.453)
I (0.005, 0.005, 0.217)
I (0.090, 0.090, 0.915)
I (0.230, 0.230, 0.550)
I (0.322, 0.322, 0.227)
I (0.431, 0.431, 0.905)
I (0.561, 0.561, 0.555)
I (0.754, 0.754, 0.889)
I (0.901, 0.901, 0.565)

Largest 10 diffraction maxima, in order of falling intensity, 15° ≤ 2θ ≤ 90°:
2θ (°), Rel. int.
15.4, 1000
25.1, 514
43.3, 434
20.1, 361
41.3, 255
23.2, 252
26.2, 212
39.9, 210
40.4, 200
43.7, 173